Entry 1:
Structure and theoretical powder X-ray diffraction pattern of K3Na3VBr8 (a structure optimized by DFT (GGA-PBE); a wavelength of 1.5418 Å).
Lines closer than 0.1° are merged.

Atomic structure:
a b c (Å): 8.7009 8.7009 9.0513
angles (deg): 118.68 118.68 60.04
Sites, in units of the cell vectors:
K 0.0000 0.0000 0.0000
K 0.0000 0.5000 0.0000
K 0.5000 0.0000 0.0000
Na 0.0000 0.5000 0.5000
Na 0.5000 0.0000 0.5000
Na 0.5000 0.5000 0.5000
V 0.0000 0.0000 0.5000
Br 0.2151 0.2151 0.6997
Br 0.2151 0.7696 0.6999
Br 0.2304 0.7849 0.3001
Br 0.2595 0.2595 0.2782
Br 0.7405 0.7405 0.7218
Br 0.7696 0.2151 0.6999
Br 0.7849 0.2304 0.3001
Br 0.7849 0.7849 0.3003

Peak list (10 most intense, 2θ from 15° to 90°, by intensity)
| Position (°2θ) | d_spacing | Rel. int. |
| --- | --- | --- |
| 28.47 | 3.135 | 100 |
| 41.51 | 2.176 | 35 |
| 39.88 | 2.261 | 28 |
| 24.91 | 3.575 | 28 |
| 51.10 | 1.787 | 15 |
| 67.86 | 1.381 | 11 |
| 36.65 | 2.452 | 10 |
| 30.89 | 2.895 | 9 |
| 23.62 | 3.767 | 8 |
| 50.60 | 1.804 | 8 |

=====

Entry 2:
Structure and theoretical powder X-ray diffraction pattern of K3NbBr8 (a structure optimized by DFT (GGA-PBE); a wavelength of 1.5418 Å).
Lines closer than 0.1° are merged.

Atomic structure:
a b c (Å): 10.0264 10.0264 9.9299
angles (deg): 90.00 90.00 120.00
Sites, in units of the cell vectors:
K 0.1521 0.3041 0.0000
K 0.1521 0.8479 0.0000
K 0.3041 0.1521 0.5000
K 0.6959 0.8479 0.0000
K 0.8479 0.1521 0.5000
K 0.8479 0.6959 0.5000
Nb 0.3333 0.6667 0.4555
Nb 0.6667 0.3333 0.9555
Br 0.0000 0.0000 0.2869
Br 0.0000 0.0000 0.7869
Br 0.0939 0.5470 0.3134
Br 0.2131 0.4261 0.6104
Br 0.2131 0.7869 0.6104
Br 0.3333 0.6667 0.9749
Br 0.4261 0.2131 0.1104
Br 0.4530 0.5470 0.3134
Br 0.4530 0.9061 0.3134
Br 0.5470 0.0939 0.8134
Br 0.5470 0.4530 0.8134
Br 0.5739 0.7869 0.6104
Br 0.6667 0.3333 0.4749
Br 0.7869 0.2131 0.1104
Br 0.7869 0.5739 0.1104
Br 0.9061 0.4530 0.8134

Peak list (10 most intense, 2θ from 15° to 90°, by intensity)
| Position (°2θ) | d_spacing | Rel. int. |
| --- | --- | --- |
| 27.29 | 3.268 | 100 |
| 32.21 | 2.779 | 46 |
| 35.84 | 2.505 | 41 |
| 32.71 | 2.738 | 31 |
| 17.69 | 5.013 | 27 |
| 41.68 | 2.167 | 25 |
| 28.87 | 3.093 | 24 |
| 28.65 | 3.116 | 22 |
| 54.95 | 1.671 | 20 |
| 53.70 | 1.707 | 15 |

=====

Entry 3:
Structure and theoretical powder X-ray diffraction pattern of KRb2NbBr6 (a structure optimized by DFT (GGA-PBE); a wavelength of 1.5418 Å).
Lines closer than 0.1° are merged.

Atomic structure:
a b c (Å): 7.7733 11.5758 8.8599
angles (deg): 90.00 90.00 90.00
Sites, in units of the cell vectors:
K 0.2500 0.2500 0.1976
K 0.7500 0.7500 0.8024
Rb 0.2500 0.0389 0.6860
Rb 0.2500 0.4611 0.6860
Rb 0.7500 0.5389 0.3140
Rb 0.7500 0.9611 0.3140
Nb 0.2500 0.7500 0.2958
Nb 0.7500 0.2500 0.7042
Br 0.0034 0.7500 0.0895
Br 0.0139 0.7500 0.5146
Br 0.2500 0.5197 0.2940
Br 0.2500 0.9803 0.2940
Br 0.4861 0.7500 0.5146
Br 0.4966 0.7500 0.0895
Br 0.5034 0.2500 0.9105
Br 0.5139 0.2500 0.4854
Br 0.7500 0.0197 0.7060
Br 0.7500 0.4803 0.7060
Br 0.9861 0.2500 0.4854
Br 0.9966 0.2500 0.9105

Peak list (10 most intense, 2θ from 15° to 90°, by intensity)
| Position (°2θ) | d_spacing | Rel. int. |
| --- | --- | --- |
| 30.60 | 2.922 | 100 |
| 27.65 | 3.226 | 95 |
| 30.90 | 2.894 | 67 |
| 25.32 | 3.518 | 59 |
| 44.04 | 2.056 | 56 |
| 31.58 | 2.833 | 44 |
| 38.28 | 2.351 | 37 |
| 46.76 | 1.943 | 34 |
| 34.08 | 2.631 | 33 |
| 15.16 | 5.843 | 27 |